# 1
Calculated powder XRD pattern of Y7Ta3O18 for Cu Kα, 1.54184 Å, from a structure optimized by DFT (GGA-PBE).
Kinematic intensities with the Lorentz-polarization factor, no thermal factor.

Crystal structure
```
Y7Ta3O18
1.0
6.4463 0.0000 0.0000
-2.1347 6.0915 0.0000
-0.0306 -0.0132 18.7317
Y Ta O
14 6 36
Cartesian
0.0000 0.0000 0.0000
-2.0639 5.8698 11.2614
-2.0473 5.8943 3.7101
1.9124 3.0347 7.5061
1.9156 3.0579 14.9777
0.9624 5.9201 5.6454
1.0026 6.0282 16.7495
3.2078 -0.0066 9.3659
3.2783 0.0502 1.9822
3.3185 0.1583 13.0863
2.3653 3.0205 3.7540
2.3686 3.0437 11.2256
6.3282 0.1841 15.0216
6.3448 0.2086 7.4704
-1.0827 3.0392 9.3659
-1.0613 3.0570 1.6625
-1.0679 3.0532 13.1870
2.1558 3.0458 0.0000
5.3489 3.0252 5.5447
5.3423 3.0214 17.0692
-0.5758 2.6910 15.1074
-0.5360 2.6406 7.4678
-1.3398 4.9692 13.4027
-1.3250 4.9946 9.1148
-1.2828 5.0291 5.7919
-1.2554 5.0087 16.7492
-0.9942 5.1347 1.7558
-0.0503 2.4497 18.7009
0.8193 3.3369 12.8615
0.8393 3.4998 9.5965
0.9197 3.3192 1.9632
0.8486 3.5444 5.3975
0.9878 3.6510 17.0028
2.0301 0.8248 7.4727
2.0097 0.8434 15.0232
2.0914 0.7877 11.2230
2.1129 0.7918 3.8509
2.1061 1.0363 18.5400
2.1748 5.0421 0.1918
2.1681 5.2866 14.8808
2.1895 5.2907 7.5087
2.2713 5.2350 3.7085
2.2508 5.2536 11.2590
3.2932 2.4274 1.7290
3.4323 2.5340 13.3342
3.3612 2.7592 16.7685
3.4416 2.5786 9.1352
3.4616 2.7415 5.8702
4.3312 3.6287 0.0308
5.2751 0.9437 16.9759
5.5364 1.0697 1.9825
5.5637 1.0493 12.9398
5.6059 1.0838 9.6169
5.6208 1.1092 5.3290
4.8169 3.4378 11.2639
4.8567 3.3874 3.6243
```

Peak list (10 most intense, 2θ = 15–90°, sorted by position)
index, 2theta, I/Imax
0 2 0, 29.28, 100
2 0 0, 29.36, 34
1 1 -5, 33.91, 27
2 -2 0, 34.08, 13
0 0 10, 48.61, 11
3 -1 5, 48.83, 52
0 2 -10, 57.78, 13
2 0 10, 57.90, 17
2 -4 0, 58.05, 17
4 2 0, 79.11, 8

---

# 2
Calculated powder XRD pattern of YTaO4 for Cu Kα, 1.54184 Å, from a structure optimized by DFT (GGA-PBE).
Kinematic intensities with the Lorentz-polarization factor, no thermal factor.

Crystal structure
```
YTaO4
1.0
7.6245 0.0000 0.0000
0.0000 5.3576 0.0000
-1.1399 0.0000 7.5302
Y Ta O
4 4 16
Cartesian
0.6797 1.1797 2.9246
0.1098 1.4991 6.6897
6.3748 3.8585 0.8406
5.8049 4.1779 4.6057
2.3487 3.9166 1.4033
1.7788 4.1198 5.1684
4.7058 1.2378 2.3618
4.1359 1.4410 6.1269
0.6481 2.7674 1.3010
0.0781 5.2690 5.0662
1.2156 0.0332 0.8967
0.6457 2.6456 4.6619
1.4480 3.3710 7.0590
2.0179 4.6654 3.2939
2.3967 0.5176 6.0774
2.9666 2.1612 2.3123
3.5180 3.1964 5.2180
4.0879 4.8400 1.4529
4.4667 0.6922 4.2364
5.0366 1.9866 0.4712
5.8389 2.7120 2.8684
5.2690 5.3244 6.6335
6.4065 0.0886 2.4641
5.8365 2.5902 6.2292
```

Peak list (10 most intense, 2θ = 15–90°, sorted by position)
index, 2theta, I/Imax
1 1 0, 20.34, 18
0 0 2, 23.62, 21
1 0 -2, 24.80, 10
2 1 0, 28.97, 100
1 1 2, 32.72, 10
0 2 0, 33.45, 16
2 1 -2, 35.30, 14
2 2 2, 50.08, 15
4 1 0, 51.42, 14
2 3 0, 57.07, 12

---

# 3
Calculated powder XRD pattern of TaZn6O6 for Cu Kα, 1.54184 Å, from a structure optimized by DFT (GGA-PBE).
Kinematic intensities with the Lorentz-polarization factor, no thermal factor.

Crystal structure
```
TaZn6O6
1.0
5.7426 0.0000 0.0000
0.0000 5.7426 0.0000
0.0000 0.0000 5.7426
Ta Zn O
1 6 6
Cartesian
0.0000 0.0000 0.0000
0.0000 1.4314 2.8713
0.0000 4.3112 2.8713
1.4314 2.8713 0.0000
2.8713 0.0000 1.4314
2.8713 0.0000 4.3112
4.3112 2.8713 0.0000
0.0000 2.8713 1.4500
0.0000 2.8713 4.2926
1.4500 0.0000 2.8713
2.8713 1.4500 0.0000
2.8713 4.2926 0.0000
4.2926 0.0000 2.8713
```

Peak list (10 most intense, 2θ = 15–90°, sorted by position)
index, 2theta, I/Imax
1 0 0, 15.43, 60
1 1 1, 26.89, 21
2 0 0, 31.15, 44
2 1 0, 34.94, 83
2 1 1, 38.40, 100
2 2 1, 47.50, 17
3 0 2, 57.90, 20
3 1 2, 60.31, 51
4 0 0, 64.96, 19
4 2 1, 75.93, 18

---

# 4
Calculated powder XRD pattern of Ta2Zn4O9 for Cu Kα, 1.54184 Å, from a structure optimized by DFT (GGA-PBE).
Kinematic intensities with the Lorentz-polarization factor, no thermal factor.

Crystal structure
```
Ta2Zn4O9
1.0
8.8571 0.0000 0.0000
4.3200 7.8502 0.0000
0.4415 0.2761 10.5012
Ta Zn O
8 16 36
Cartesian
0.0000 0.0000 0.0000
0.2208 0.1380 5.2506
2.8357 0.0844 2.5506
4.7602 2.9912 8.3806
4.5978 2.8462 3.1718
9.0208 5.2801 7.3294
8.8584 5.1350 2.1206
10.7829 8.0419 7.9506
1.4810 2.2013 7.6740
1.8582 2.7246 0.7023
3.5609 4.6037 5.8832
5.7792 6.4694 7.9545
5.4854 4.6578 0.4996
3.5326 0.6558 5.9916
6.3199 5.4053 4.8029
8.0554 7.3473 9.9875
5.5632 0.7790 0.5136
7.2987 2.7210 5.6983
10.0860 7.4705 4.5096
8.1332 3.4685 10.0016
7.8394 1.6568 2.5467
10.0577 3.5226 4.6179
11.7604 5.4016 9.7989
12.1376 5.9250 2.8272
1.3561 0.5969 8.7996
4.3136 6.0817 4.6493
1.2737 0.4900 3.5719
4.7191 6.1818 9.9562
3.3139 3.4425 9.5544
3.1198 3.3498 4.3199
4.4289 4.4561 2.1283
6.1242 7.5380 0.8781
3.3982 2.2384 7.0907
6.2245 7.3563 6.0991
3.1791 1.9019 1.8722
4.8546 4.6765 7.3978
4.1726 0.7880 3.9905
5.9088 3.4062 4.4336
7.3848 6.1131 3.2779
6.1673 3.4253 9.6766
7.6721 6.1517 8.5208
4.9116 0.9746 9.2003
8.7070 7.1517 1.3009
5.9465 1.9746 1.9804
7.4513 4.7009 0.8245
6.2338 2.0131 7.2233
7.7098 4.7201 6.0676
9.4460 7.3383 6.5107
8.7640 3.4498 3.1034
10.4394 6.2244 8.6289
7.3941 0.7700 4.4021
10.2204 5.8879 3.4104
7.4944 0.5882 9.6231
9.1897 3.6702 8.3729
10.4988 4.7765 6.1813
10.3046 4.6838 0.9468
8.8995 1.9445 0.5450
12.3449 7.6363 6.9292
9.3050 2.0446 5.8518
12.2625 7.5294 1.7016
```

Peak list (10 most intense, 2θ = 15–90°, sorted by position)
index, 2theta, I/Imax
1 0 2, 20.19, 36
1 1 -2, 20.98, 62
2 2 2, 28.15, 85
2 0 -2, 28.95, 62
1 3 -1, 31.90, 52
1 -1 3, 32.30, 45
0 3 0, 34.30, 80
-1 2 2, 34.52, 50
3 0 0, 34.69, 100
3 3 0, 35.15, 41

---

# 5
Calculated powder XRD pattern of Ta2ZnO6 for Cu Kα, 1.54184 Å, from a structure optimized by DFT (GGA-PBE).
Kinematic intensities with the Lorentz-polarization factor, no thermal factor.

Crystal structure
```
Ta2ZnO6
1.0
8.8050 0.0000 0.0000
-4.4025 7.6254 0.0000
0.0000 0.0000 4.6174
Ta Zn O
6 3 18
Cartesian
-1.3396 2.3202 0.0000
-2.8115 4.8696 2.3087
2.6791 0.0000 0.0000
1.5910 2.7557 2.3087
5.6230 0.0000 2.3087
3.0630 5.3052 0.0000
0.0000 0.0000 2.3087
0.0000 5.0836 4.5732
4.4025 2.5418 0.0442
-1.5189 4.1256 1.1074
-2.8779 6.7003 1.2109
0.0388 1.7829 1.2109
-1.5915 5.9572 3.4902
0.0391 3.2685 3.4902
1.5246 0.9250 3.4065
2.8110 1.6681 1.1272
-0.0702 6.8780 1.1074
1.5891 4.2472 1.1074
4.3323 0.7474 3.5100
2.8836 3.4998 3.5100
1.5523 6.0250 3.4902
2.8391 6.7675 1.2109
5.9548 1.6004 1.1272
4.4416 4.3569 1.1272
7.2416 0.8578 3.4065
4.4413 5.8425 3.4065
5.9916 3.3782 3.5100
```

Peak list (10 most intense, 2θ = 15–90°, sorted by position)
index, 2theta, I/Imax
1 1 0, 20.17, 14
1 1 1, 28.00, 100
2 0 1, 30.40, 13
3 0 0, 35.31, 36
2 2 1, 45.66, 22
0 3 2, 53.63, 35
2 3 1, 56.23, 9
4 1 1, 59.00, 17
3 3 0, 63.38, 9
1 1 3, 64.09, 10

---

# 6
Calculated powder XRD pattern of Ta2ZnO6 for Cu Kα, 1.54184 Å, from a structure optimized by DFT (GGA-PBE).
Kinematic intensities with the Lorentz-polarization factor, no thermal factor.

Crystal structure
```
Ta2ZnO6
1.0
7.5628 0.0000 0.0000
0.0000 5.6795 0.0000
0.0000 0.0000 5.2187
Ta Zn O
4 2 12
Cartesian
1.8489 1.4192 0.0000
1.9325 4.2603 2.6093
5.6303 4.2603 2.6093
5.7139 1.4192 0.0000
0.0000 4.2556 0.1670
3.7814 1.4239 2.7763
0.0000 1.4211 4.6458
0.0000 4.2607 3.3953
1.4057 2.9624 1.1223
1.4054 5.5525 1.1180
2.3760 0.1270 3.7273
2.3757 2.7172 3.7316
3.7814 1.4188 0.7859
3.7814 4.2584 2.0364
5.1868 0.1270 3.7273
5.1871 2.7172 3.7316
6.1571 2.9624 1.1223
6.1574 5.5525 1.1180
```

Peak list (10 most intense, 2θ = 15–90°, sorted by position)
index, 2theta, I/Imax
0 1 1, 23.15, 74
2 0 0, 23.53, 33
0 2 0, 31.50, 28
2 1 1, 33.24, 100
0 0 2, 34.37, 19
0 2 2, 47.31, 26
2 2 2, 53.49, 18
4 1 1, 54.06, 15
2 3 1, 57.21, 22
2 1 3, 60.84, 21